No. 1
Diffraction record for ZnCdO2. The powder diffractogram is theoretical, not measured: it uses a crystal structure in the Materials Project, relaxed with PBE and Cu Kα (λ = 1.5418 Å).
Intensities are scaled so that the largest is 100.

Top 10 peaks for 2θ = 10–90°, in order of rising 2θ:
hkl 1 0 0, 2θ 29.94, rel. 45; hkl 0 0 2, 2θ 31.36, rel. 34; hkl 0 1 1, 2θ 33.90, rel. 100; hkl 0 1 2, 2θ 43.90, rel. 25; hkl 1 1 0, 2θ 53.15, rel. 29; hkl 1 0 3, 2θ 57.46, rel. 32; hkl 1 1 2, 2θ 63.02, rel. 25; hkl 2 0 1, 2θ 64.55, rel. 15; hkl 0 2 3, 2θ 82.09, rel. 11; hkl 1 2 1, 2θ 88.31, rel. 13

Atomic structure:
a = 3.4464 Å, b = 3.4464 Å, c = 5.7053 Å
α = 90.00°, β = 90.00°, γ = 120.00°
Space group P3m1 (No. 156)
Inequivalent atoms, fractional coordinates:
Zn (0.0000, 0.0000, 0.0000)
Cd (0.6667, 0.3333, 0.4935)
O (0.0000, 0.0000, 0.6537)
O (0.6667, 0.3333, 0.1011)

No. 2
Diffraction record for Cd3Os. The powder diffractogram is theoretical, not measured: it uses a crystal structure in the Materials Project, relaxed with PBE and Cu Kα (λ = 1.5418 Å).
Intensities are scaled so that the largest is 100.

Top 10 peaks for 2θ = 10–90°, in order of rising 2θ:
hkl 1 0 0, 2θ 17.12, rel. 5; hkl 1 0 1, 2θ 25.13, rel. 4; hkl 2 0 0, 2θ 34.63, rel. 24; hkl 0 0 2, 2θ 37.00, rel. 27; hkl 2 0 1, 2θ 39.42, rel. 100; hkl 2 0 2, 2θ 51.57, rel. 15; hkl 2 2 0, 2θ 62.06, rel. 17; hkl 2 0 3, 2θ 68.30, rel. 19; hkl 2 2 2, 2θ 74.50, rel. 19; hkl 4 0 1, 2θ 76.05, rel. 14

Atomic structure:
a = 5.9819 Å, b = 5.9819 Å, c = 4.8594 Å
α = 90.00°, β = 90.00°, γ = 120.00°
Space group P6_3/mmc (No. 194)
Inequivalent atoms, fractional coordinates:
Cd (0.1725, 0.3450, 0.2500)
Os (0.3333, 0.6667, 0.7500)

No. 3
Diffraction record for CdPOs2. The powder diffractogram is theoretical, not measured: it uses a crystal structure in the Materials Project, relaxed with PBE and Cu Kα (λ = 1.5418 Å).
Intensities are scaled so that the largest is 100.

Top 10 peaks for 2θ = 10–90°, in order of rising 2θ:
hkl 1 1 1, 2θ 24.43, rel. 26; hkl 2 0 0, 2θ 28.28, rel. 3; hkl 2 2 0, 2θ 40.42, rel. 100; hkl 3 1 1, 2θ 47.79, rel. 14; hkl 4 0 0, 2θ 58.49, rel. 17; hkl 3 3 1, 2θ 64.34, rel. 6; hkl 4 2 0, 2θ 66.22, rel. 1; hkl 4 2 2, 2θ 73.51, rel. 34; hkl 5 1 1, 2θ 78.79, rel. 5; hkl 4 4 0, 2θ 87.41, rel. 11

Atomic structure:
a = 6.312 Å, b = 6.312 Å, c = 6.312 Å
α = 90.00°, β = 90.00°, γ = 90.00°
Space group F-43m (No. 216)
Inequivalent atoms, fractional coordinates:
Cd (0.000, 0.000, 0.000)
P (0.250, 0.250, 0.750)
Os (0.000, 0.000, 0.500)
Os (0.250, 0.250, 0.250)

No. 4
Diffraction record for Cd3P. The powder diffractogram is theoretical, not measured: it uses a crystal structure in the Materials Project, relaxed with PBE and Cu Kα (λ = 1.5418 Å).
Intensities are scaled so that the largest is 100.

Top 10 peaks for 2θ = 10–90°, in order of rising 2θ:
hkl 1 0 0, 2θ 20.21, rel. 15; hkl 1 1 0, 2θ 28.73, rel. 13; hkl 1 1 1, 2θ 35.38, rel. 100; hkl 2 0 0, 2θ 41.09, rel. 49; hkl 2 1 0, 2θ 46.20, rel. 7; hkl 2 1 1, 2θ 50.91, rel. 5; hkl 2 2 0, 2θ 59.51, rel. 31; hkl 3 1 1, 2θ 71.17, rel. 36; hkl 2 2 2, 2θ 74.86, rel. 10; hkl 4 0 0, 2θ 89.15, rel. 5

Atomic structure:
a = 4.394 Å, b = 4.394 Å, c = 4.394 Å
α = 90.00°, β = 90.00°, γ = 90.00°
Space group Pm-3m (No. 221)
Inequivalent atoms, fractional coordinates:
Cd (0.000, 0.000, 0.500)
P (0.500, 0.500, 0.500)

No. 5
Diffraction record for CdP4. The powder diffractogram is theoretical, not measured: it uses a crystal structure in the Materials Project, relaxed with PBE and Cu Kα (λ = 1.5418 Å).
Intensities are scaled so that the largest is 100.

Top 10 peaks for 2θ = 10–90°, in order of rising 2θ:
hkl 0 1 1, 2θ 20.68, rel. 34; hkl 1 1 -1, 2θ 25.56, rel. 51; hkl 1 0 -2, 2θ 26.64, rel. 33; hkl 1 1 1, 2θ 27.96, rel. 100; hkl 1 1 -2, 2θ 31.79, rel. 20; hkl 2 1 -1, 2θ 38.48, rel. 23; hkl 0 1 3, 2θ 39.53, rel. 24; hkl 0 2 2, 2θ 42.07, rel. 30; hkl 2 0 2, 2θ 44.86, rel. 22; hkl 2 2 0, 2θ 49.24, rel. 18

Atomic structure:
a = 5.332 Å, b = 5.204 Å, c = 7.709 Å
α = 90.00°, β = 99.12°, γ = 90.00°
Space group P2_1/c (No. 14)
Inequivalent atoms, fractional coordinates:
Cd (0.000, 0.000, 0.000)
P (0.263, 0.213, 0.752)
P (0.399, 0.601, 0.101)

No. 6
Diffraction record for Cd7P10. The powder diffractogram is theoretical, not measured: it uses a crystal structure in the Materials Project, relaxed with PBE and Cu Kα (λ = 1.5418 Å).
Intensities are scaled so that the largest is 100.

Top 10 peaks for 2θ = 10–90°, in order of rising 2θ:
hkl 1 2 -1, 2θ 24.14, rel. 50; hkl 1 0 -2, 2θ 25.09, rel. 32; hkl 0 1 4, 2θ 26.67, rel. 39; hkl 1 2 -2, 2θ 27.36, rel. 24; hkl 1 3 2, 2θ 28.65, rel. 100; hkl 1 1 -3, 2θ 29.65, rel. 35; hkl 0 4 0, 2θ 30.70, rel. 35; hkl 1 3 3, 2θ 31.44, rel. 25; hkl 1 3 4, 2θ 35.26, rel. 23; hkl 1 6 -1, 2θ 48.12, rel. 27

Atomic structure:
a = 4.691 Å, b = 11.885 Å, c = 14.154 Å
α = 88.13°, β = 80.46°, γ = 78.62°
Space group P1 (No. 1)
Inequivalent atoms, fractional coordinates:
Cd (0.000, 0.000, 0.000)
Cd (0.009, 0.977, 0.503)
Cd (0.058, 0.241, 0.239)
Cd (0.157, 0.500, 0.915)
Cd (0.318, 0.732, 0.744)
Cd (0.425, 0.495, 0.174)
Cd (0.476, 0.232, 0.432)
Cd (0.500, 0.001, 0.265)
Cd (0.513, 0.968, 0.765)
Cd (0.678, 0.474, 0.415)
Cd (0.707, 0.742, 0.934)
Cd (0.737, 0.236, 0.837)
Cd (0.937, 0.474, 0.671)
Cd (0.992, 0.739, 0.339)
P (0.013, 0.304, 0.966)
P (0.063, 0.646, 0.074)
P (0.069, 0.665, 0.607)
P (0.086, 0.164, 0.570)
P (0.209, 0.405, 0.334)
P (0.213, 0.165, 0.712)
P (0.266, 0.799, 0.069)
P (0.326, 0.665, 0.467)
P (0.368, 0.153, 0.968)
P (0.400, 0.808, 0.206)
P (0.409, 0.322, 0.710)
P (0.536, 0.820, 0.464)
P (0.559, 0.150, 0.098)
P (0.621, 0.571, 0.836)
P (0.718, 0.821, 0.595)
P (0.731, 0.325, 0.579)
P (0.746, 0.303, 0.109)
P (0.746, 0.649, 0.208)
P (0.880, 0.073, 0.344)
P (0.968, 0.900, 0.844)

No. 7
Diffraction record for Cd7P10. The powder diffractogram is theoretical, not measured: it uses a crystal structure in the Materials Project, relaxed with PBE and Cu Kα (λ = 1.5418 Å).
Intensities are scaled so that the largest is 100.

Top 10 peaks for 2θ = 10–90°, in order of rising 2θ:
hkl 3 3 1, 2θ 24.14, rel. 51; hkl 1 5 1, 2θ 25.09, rel. 33; hkl 2 8 0, 2θ 26.67, rel. 39; hkl 3 5 1, 2θ 27.36, rel. 24; hkl 5 3 1, 2θ 28.65, rel. 100; hkl 1 7 1, 2θ 29.65, rel. 36; hkl 8 0 0, 2θ 30.70, rel. 35; hkl 5 5 1, 2θ 31.44, rel. 25; hkl 5 7 1, 2θ 35.26, rel. 23; hkl 11 3 1, 2θ 48.12, rel. 27

Atomic structure:
a = 23.302 Å, b = 27.917 Å, c = 4.691 Å
α = 90.00°, β = 90.00°, γ = 90.00°
Space group Fdd2 (No. 43)
Inequivalent atoms, fractional coordinates:
Cd (0.000, 0.000, 0.023)
Cd (0.003, 0.201, 0.500)
Cd (0.117, 0.288, 0.681)
Cd (0.119, 0.418, 0.304)
P (0.034, 0.134, 0.858)
P (0.036, 0.064, 0.654)
P (0.042, 0.436, 0.886)
P (0.044, 0.370, 0.632)
P (0.083, 0.248, 0.222)

No. 8
Diffraction record for Cd2P. The powder diffractogram is theoretical, not measured: it uses a crystal structure in the Materials Project, relaxed with PBE and Cu Kα (λ = 1.5418 Å).
Intensities are scaled so that the largest is 100.

Top 10 peaks for 2θ = 10–90°, in order of rising 2θ:
hkl 1 1 1, 2θ 26.47, rel. 100; hkl 2 0 0, 2θ 30.66, rel. 38; hkl 2 2 0, 2θ 43.92, rel. 48; hkl 3 1 1, 2θ 52.01, rel. 45; hkl 2 2 2, 2θ 54.51, rel. 10; hkl 4 0 0, 2θ 63.85, rel. 7; hkl 3 3 1, 2θ 70.38, rel. 17; hkl 4 2 0, 2θ 72.49, rel. 12; hkl 4 2 2, 2θ 80.73, rel. 15; hkl 5 1 1, 2θ 86.78, rel. 13

Atomic structure:
a = 5.831 Å, b = 5.831 Å, c = 5.831 Å
α = 90.00°, β = 90.00°, γ = 90.00°
Space group Pn-3m (No. 224, origin choice 2)
Inequivalent atoms, fractional coordinates:
Cd (0.000, 0.000, 0.000)
P (0.250, 0.250, 0.250)

No. 9
Diffraction record for CdPPd5. The powder diffractogram is theoretical, not measured: it uses a crystal structure in the Materials Project, relaxed with PBE and Cu Kα (λ = 1.5418 Å).
Intensities are scaled so that the largest is 100.

Top 10 peaks for 2θ = 10–90°, in order of rising 2θ:
hkl 1 1 0, 2θ 31.88, rel. 9; hkl 1 1 1, 2θ 34.38, rel. 49; hkl 0 0 3, 2θ 38.24, rel. 25; hkl 1 1 2, 2θ 41.08, rel. 100; hkl 2 0 0, 2θ 45.70, rel. 48; hkl 2 0 3, 2θ 61.07, rel. 25; hkl 2 2 0, 2θ 66.63, rel. 15; hkl 1 1 5, 2θ 75.34, rel. 17; hkl 2 2 3, 2θ 79.51, rel. 11; hkl 3 1 2, 2θ 81.34, rel. 26

Atomic structure:
a = 3.970 Å, b = 3.970 Å, c = 7.060 Å
α = 90.00°, β = 90.00°, γ = 90.00°
Space group P4/mmm (No. 123)
Inequivalent atoms, fractional coordinates:
Cd (0.000, 0.000, 0.000)
P (0.500, 0.500, 0.500)
Pd (0.000, 0.500, 0.301)
Pd (0.500, 0.500, 0.000)

No. 10
Diffraction record for PrCd3P3. The powder diffractogram is theoretical, not measured: it uses a crystal structure in the Materials Project, relaxed with PBE and Cu Kα (λ = 1.5418 Å).
Intensities are scaled so that the largest is 100.

Top 10 peaks for 2θ = 10–90°, in order of rising 2θ:
hkl 1 0 2, 2θ 25.21, rel. 94; hkl 1 0 3, 2θ 26.93, rel. 47; hkl 1 0 4, 2θ 29.17, rel. 61; hkl 1 0 5, 2θ 31.85, rel. 83; hkl 0 0 8, 2θ 33.74, rel. 41; hkl 1 0 6, 2θ 34.87, rel. 57; hkl 1 1 0, 2θ 41.77, rel. 100; hkl 1 1 8, 2θ 54.74, rel. 59; hkl 2 1 5, 2θ 70.03, rel. 23; hkl 1 1 16, 2θ 85.88, rel. 19

Atomic structure:
a = 4.3245 Å, b = 4.3245 Å, c = 21.2499 Å
α = 90.00°, β = 90.00°, γ = 120.00°
Space group P6_3/mmc (No. 194)
Inequivalent atoms, fractional coordinates:
Pr (0.0000, 0.0000, 0.0000)
Cd (0.3333, 0.6667, 0.1265)
Cd (0.3333, 0.6667, 0.7500)
P (0.3333, 0.6667, 0.2500)
P (0.3333, 0.6667, 0.5777)

No. 11
Diffraction record for CdSiP2. The powder diffractogram is theoretical, not measured: it uses a crystal structure in the Materials Project, relaxed with PBE and Cu Kα (λ = 1.5418 Å).
Intensities are scaled so that the largest is 100.

Top 10 peaks for 2θ = 10–90°, in order of rising 2θ:
hkl 1 0 1, 2θ 17.60, rel. 30; hkl 1 1 2, 2θ 27.73, rel. 100; hkl 1 0 3, 2θ 29.75, rel. 17; hkl 2 0 0, 2θ 31.21, rel. 11; hkl 2 1 1, 2θ 36.05, rel. 21; hkl 2 2 0, 2θ 44.72, rel. 20; hkl 2 0 4, 2θ 46.74, rel. 37; hkl 3 1 2, 2θ 53.44, rel. 29; hkl 1 1 6, 2θ 56.96, rel. 12; hkl 4 2 4, 2θ 83.89, rel. 11

Atomic structure:
a = 5.732 Å, b = 5.732 Å, c = 10.577 Å
α = 90.00°, β = 90.00°, γ = 90.00°
Space group I-42d (No. 122)
Inequivalent atoms, fractional coordinates:
Cd (0.000, 0.000, 0.000)
Si (0.000, 0.000, 0.500)
P (0.203, 0.250, 0.625)

No. 12
Diffraction record for CdSiP2. The powder diffractogram is theoretical, not measured: it uses a crystal structure in the Materials Project, relaxed with PBE and Cu Kα (λ = 1.5418 Å).
Intensities are scaled so that the largest is 100.

Top 10 peaks for 2θ = 10–90°, in order of rising 2θ:
hkl 1 1 1, 2θ 23.62, rel. 44; hkl 2 0 0, 2θ 27.34, rel. 21; hkl 2 2 0, 2θ 39.05, rel. 100; hkl 3 1 1, 2θ 46.15, rel. 22; hkl 4 0 0, 2θ 56.41, rel. 16; hkl 3 3 1, 2θ 62.00, rel. 9; hkl 4 2 0, 2θ 63.80, rel. 7; hkl 4 2 2, 2θ 70.74, rel. 32; hkl 4 4 0, 2θ 83.89, rel. 10; hkl 5 3 1, 2θ 88.70, rel. 6

Atomic structure:
a = 6.524 Å, b = 6.524 Å, c = 6.524 Å
α = 90.00°, β = 90.00°, γ = 90.00°
Space group Fm-3m (No. 225)
Inequivalent atoms, fractional coordinates:
Cd (0.000, 0.000, 0.000)
Si (0.000, 0.000, 0.500)
P (0.250, 0.250, 0.250)